[1]
This entry pairs a crystal structure of Dy7Tm with its theoretical X-ray diffraction stick pattern. Radiation: Cu Kα (λ = 1.5418 Å). Structure: a crystal structure in OQMD, relaxed with GGA-PBE.

Structural model:
Cell lengths 5.612, 7.199, 7.199 Å; angles 60.00, 90.00, 90.00 degrees
Fractional positions:
Dy1 0.000 0.000 0.000
Dy2 0.000 0.500 0.500
Dy3 0.000 0.500 0.999
Dy4 0.000 0.999 0.500
Dy5 0.500 0.333 0.333
Dy6 0.500 0.334 0.833
Dy7 0.500 0.833 0.334
Tm1 0.500 0.833 0.833

Most intense lines, 15 to 90 degrees two-theta, sorted by position:
| 2θ (°) | I_rel |
| --- | --- |
| 28.64 | 24 |
| 31.89 | 24 |
| 32.87 | 100 |
| 50.73 | 20 |
| 57.45 | 20 |
| 61.18 | 23 |

[2]
This entry pairs a crystal structure of BaGeAu2S2O2 with its theoretical X-ray diffraction stick pattern. Radiation: Cu Kα (λ = 1.5418 Å). Structure: a crystal structure in OQMD, relaxed with GGA-PBE.

Structural model:
Cell lengths 6.239, 6.239, 6.003 Å; angles 118.65, 118.65, 75.61 degrees
Fractional positions:
Ba1 0.000 0.000 0.000
Ge1 0.546 0.454 0.000
Au1 0.333 0.667 0.500
Au2 0.706 0.294 0.500
S1 0.184 0.466 0.640
S2 0.534 0.816 0.360
O1 0.585 0.195 0.072
O2 0.805 0.415 0.928

Most intense lines, 15 to 90 degrees two-theta, sorted by position:
| 2θ (°) | I_rel |
| --- | --- |
| 22.70 | 72 |
| 29.77 | 33 |
| 29.96 | 100 |
| 37.08 | 30 |
| 37.76 | 48 |
| 44.65 | 37 |

[3]
This entry pairs a crystal structure of Hg4AsI5 with its theoretical X-ray diffraction stick pattern. Radiation: Cu Kα (λ = 1.5418 Å). Structure: a crystal structure in OQMD, relaxed with GGA-PBE.

Structural model:
Cell lengths 8.609, 8.609, 19.993 Å; angles 90.00, 90.00, 90.95 degrees
Fractional positions:
Hg1 0.056 0.944 0.831
Hg2 0.060 0.269 0.670
Hg3 0.231 0.440 0.830
Hg4 0.233 0.767 0.669
Hg5 0.267 0.733 0.169
Hg6 0.269 0.060 0.330
Hg7 0.440 0.231 0.170
Hg8 0.444 0.556 0.331
Hg9 0.556 0.444 0.669
Hg10 0.560 0.769 0.830
Hg11 0.731 0.940 0.670
Hg12 0.733 0.267 0.831
Hg13 0.767 0.233 0.331
Hg14 0.769 0.560 0.170
Hg15 0.940 0.731 0.330
Hg16 0.944 0.056 0.169
As1 0.106 0.894 0.249
As2 0.394 0.606 0.749
As3 0.606 0.394 0.251
As4 0.894 0.106 0.751
I1 0.064 0.287 0.923
I2 0.069 0.931 0.579
I3 0.108 0.392 0.250
I4 0.213 0.436 0.577
I5 0.218 0.782 0.922
I6 0.282 0.718 0.422
I7 0.287 0.064 0.077
I8 0.392 0.108 0.750
I9 0.431 0.569 0.079
I10 0.436 0.213 0.423
I11 0.564 0.787 0.577
I12 0.569 0.431 0.921
I13 0.608 0.892 0.250
I14 0.713 0.936 0.923
I15 0.718 0.282 0.578
I16 0.782 0.218 0.078
I17 0.787 0.564 0.423
I18 0.892 0.608 0.750
I19 0.931 0.069 0.421
I20 0.936 0.713 0.077

Most intense lines, 15 to 90 degrees two-theta, sorted by position:
| 2θ (°) | I_rel |
| --- | --- |
| 24.62 | 58 |
| 26.88 | 46 |
| 29.15 | 100 |
| 29.41 | 46 |
| 32.39 | 27 |
| 47.34 | 32 |

[4]
This entry pairs a crystal structure of SrFeAgS3 with its theoretical X-ray diffraction stick pattern. Radiation: Cu Kα (λ = 1.5418 Å). Structure: a crystal structure in OQMD, relaxed with GGA-PBE.

Structural model:
Cell lengths 12.956, 3.945, 9.526 Å; angles 90.00, 90.00, 90.00 degrees
Fractional positions:
Sr1 0.241 0.250 0.061
Sr2 0.259 0.750 0.561
Sr3 0.741 0.250 0.439
Sr4 0.759 0.750 0.939
Fe1 0.014 0.250 0.334
Fe2 0.486 0.750 0.834
Fe3 0.514 0.250 0.166
Fe4 0.986 0.750 0.666
Ag1 0.001 0.750 0.106
Ag2 0.499 0.250 0.606
Ag3 0.501 0.750 0.394
Ag4 0.999 0.250 0.894
S1 0.086 0.250 0.560
S2 0.116 0.750 0.851
S3 0.146 0.750 0.271
S4 0.354 0.250 0.771
S5 0.384 0.250 0.351
S6 0.414 0.750 0.060
S7 0.586 0.250 0.940
S8 0.616 0.750 0.649
S9 0.646 0.750 0.229
S10 0.854 0.250 0.729
S11 0.884 0.250 0.149
S12 0.914 0.750 0.440

Most intense lines, 15 to 90 degrees two-theta, sorted by position:
| 2θ (°) | I_rel |
| --- | --- |
| 27.54 | 40 |
| 30.21 | 50 |
| 32.14 | 66 |
| 36.15 | 100 |
| 38.98 | 86 |
| 46.03 | 85 |

[5]
This entry pairs a crystal structure of Li6CdSe4O12 with its theoretical X-ray diffraction stick pattern. Radiation: Cu Kα (λ = 1.5418 Å). Structure: a crystal structure in OQMD, relaxed with GGA-PBE.

Structural model:
Cell lengths 8.267, 8.267, 8.301 Å; angles 116.03, 116.03, 34.31 degrees
Fractional positions:
Li1 0.157 0.157 0.280
Li2 0.235 0.233 0.676
Li3 0.298 0.287 0.120
Li4 0.713 0.702 0.880
Li5 0.767 0.765 0.324
Li6 0.843 0.843 0.720
Cd1 0.582 0.418 0.000
Se1 0.162 0.014 0.819
Se2 0.392 0.389 0.535
Se3 0.611 0.608 0.465
Se4 0.986 0.838 0.181
O1 0.030 0.724 0.538
O2 0.065 0.121 0.020
O3 0.276 0.970 0.462
O4 0.298 0.117 0.874
O5 0.357 0.504 0.174
O6 0.387 0.188 0.345
O7 0.461 0.265 0.708
O8 0.496 0.643 0.826
O9 0.735 0.539 0.292
O10 0.812 0.613 0.655
O11 0.879 0.935 0.980
O12 0.883 0.702 0.126

Most intense lines, 15 to 90 degrees two-theta, sorted by position:
| 2θ (°) | I_rel |
| --- | --- |
| 21.12 | 39 |
| 25.11 | 100 |
| 28.64 | 46 |
| 33.56 | 35 |
| 33.90 | 32 |
| 36.87 | 45 |

[6]
This entry pairs a crystal structure of RbGeOsS5 with its theoretical X-ray diffraction stick pattern. Radiation: Cu Kα (λ = 1.5418 Å). Structure: a crystal structure in OQMD, relaxed with GGA-PBE.

Structural model:
Cell lengths 6.687, 7.147, 9.310 Å; angles 70.40, 80.13, 77.40 degrees
Fractional positions:
Rb1 0.086 0.363 0.299
Rb2 0.914 0.637 0.701
Ge1 0.475 0.705 0.374
Ge2 0.525 0.295 0.626
Os1 0.283 0.999 0.993
Os2 0.717 0.001 0.007
S1 0.047 0.799 0.981
S2 0.190 0.878 0.279
S3 0.289 0.102 0.720
S4 0.434 0.621 0.635
S5 0.440 0.258 0.993
S6 0.560 0.742 0.007
S7 0.566 0.379 0.365
S8 0.711 0.898 0.280
S9 0.810 0.122 0.721
S10 0.953 0.201 0.019

Most intense lines, 15 to 90 degrees two-theta, sorted by position:
| 2θ (°) | I_rel |
| --- | --- |
| 19.16 | 77 |
| 25.61 | 77 |
| 28.31 | 65 |
| 28.46 | 55 |
| 30.75 | 100 |
| 42.20 | 45 |

[7]
This entry pairs a crystal structure of Sr3Pd2 with its theoretical X-ray diffraction stick pattern. Radiation: Cu Kα (λ = 1.5418 Å). Structure: a crystal structure in OQMD, relaxed with GGA-PBE.

Structural model:
Cell lengths 8.096, 8.096, 8.096 Å; angles 71.73, 71.73, 71.73 degrees
Fractional positions:
Sr1 0.000 0.000 0.000
Sr2 0.159 0.670 0.393
Sr3 0.203 0.203 0.203
Sr4 0.330 0.607 0.841
Sr5 0.393 0.159 0.670
Sr6 0.607 0.841 0.330
Sr7 0.670 0.393 0.159
Sr8 0.797 0.797 0.797
Sr9 0.841 0.330 0.607
Pd1 0.040 0.413 0.850
Pd2 0.150 0.960 0.587
Pd3 0.413 0.850 0.040
Pd4 0.587 0.150 0.960
Pd5 0.850 0.040 0.413
Pd6 0.960 0.587 0.150

Most intense lines, 15 to 90 degrees two-theta, sorted by position:
| 2θ (°) | I_rel |
| --- | --- |
| 29.19 | 42 |
| 29.98 | 36 |
| 30.47 | 100 |
| 32.70 | 64 |
| 35.19 | 69 |
| 35.57 | 74 |

[8]
This entry pairs a crystal structure of Tb6DySe8 with its theoretical X-ray diffraction stick pattern. Radiation: Cu Kα (λ = 1.5418 Å). Structure: a crystal structure in OQMD, relaxed with GGA-PBE.

Structural model:
Cell lengths 8.142, 8.142, 8.142 Å; angles 60.00, 60.00, 60.00 degrees
Fractional positions:
Tb1 0.000 0.000 0.500
Tb2 0.000 0.500 0.000
Tb3 0.000 0.500 0.500
Tb4 0.500 0.000 0.000
Tb5 0.500 0.000 0.500
Tb6 0.500 0.500 0.000
Dy1 0.000 0.000 0.000
Se1 0.250 0.250 0.250
Se2 0.252 0.252 0.748
Se3 0.252 0.748 0.252
Se4 0.252 0.748 0.748
Se5 0.748 0.252 0.252
Se6 0.748 0.252 0.748
Se7 0.748 0.748 0.252
Se8 0.750 0.750 0.750

Most intense lines, 15 to 90 degrees two-theta, sorted by position:
| 2θ (°) | I_rel |
| --- | --- |
| 26.82 | 14 |
| 31.07 | 100 |
| 44.51 | 74 |
| 55.27 | 26 |
| 73.58 | 33 |
| 81.99 | 25 |